Computed X-ray powder pattern of Li3Mn2O5 for Cu Kα, 1.54184 Å, from a crystal structure in the Materials Project, relaxed with GGA+U.

Top 10 peaks for 2θ = 10–90°, most intense first:
| Position (°2θ) | intensity |
| --- | --- |
| 18.23 | 100 |
| 44.38 | 56 |
| 40.81 | 29 |
| 36.40 | 23 |
| 61.97 | 14 |
| 61.77 | 13 |
| 34.16 | 12 |
| 15.37 | 10 |
| 32.39 | 10 |
| 58.40 | 9 |

Crystal structure
```
data_Li3Mn2O5
_cell_length_a 22.2883
_cell_length_b 2.8680
_cell_length_c 5.8108
_cell_angle_alpha 90.00
_cell_angle_beta 97.25
_cell_angle_gamma 90.00
_symmetry_space_group_name_H-M 'C 1 2/m 1'
_symmetry_Int_Tables_number 12
_symmetry_space_group_name_Hall '-C 2y'
loop_
_atom_site_label
_atom_site_type_symbol
_atom_site_fract_x
_atom_site_fract_y
_atom_site_fract_z
Li1 Li 0.0000 0.0000 0.0000
Li2 Li 0.0000 0.0000 0.5000
Li3 Li 0.0829 0.5000 0.2869
Li4 Li 0.1881 0.0000 0.0956
Mn1 Mn 0.0899 0.5000 0.7948
Mn2 Mn 0.1955 0.0000 0.5916
O1 O 0.0083 0.5000 0.7556
O2 O 0.0945 0.0000 0.5672
O3 O 0.0967 0.0000 0.0222
O4 O 0.1870 0.5000 0.8192
O5 O 0.2000 0.5000 0.3640
```